Mn2CrGeO6: calculated powder diffraction line list (a wavelength of 1.5418 Å), based on a PBE+U-relaxed structure.

Peak list (10 most intense, 2θ from 10° to 90°, in order of falling intensity)
(hkl)  two_theta  d_spacing  Rel. int.
2 -1 0  35.14  2.553  100
-1 1 1  32.91  2.722  72
0 1 -2  33.01  2.714  36
0 1 0  23.88  3.727  35
-2 1 2  53.69  1.707  33
2 0 -2  49.01  1.859  31
3 0 -1  63.00  1.475  27
-3 2 1  61.68  1.504  24
1 1 1  53.52  1.712  23
1 -1 1  23.96  3.715  18

Crystal structure
```
Mn2CrGeO6
1.0
5.102 0.000 0.000
-2.538 4.427 0.000
-0.008 -2.930 4.596
Mn Cr Ge O
2 1 1 6
Direct
0.000 0.000 0.000
0.478 0.958 0.435
0.280 0.561 0.841
0.791 0.578 0.368
0.067 0.497 0.157
0.180 0.063 0.628
0.432 0.090 0.159
0.569 0.747 0.629
0.661 0.728 0.158
0.883 0.454 0.632
```